Record 1
Diffraction record for NaMgBe. The powder X-ray diffraction pattern is computed, not measured: it uses DFT lattice parameters and positions (GGA-PBE) and copper Kα.

Cell lengths 3.8725, 3.8725, 10.5561 Å; angles 90.00, 90.00, 120.00 degrees
Space group P-3m1 (No. 164)
One atom of each set of equivalent atoms:
Na: 0.3333 0.6667 0.3677
Mg: 0.0000 0.0000 0.1347
Be: 0.3333 0.6667 0.0003

Principal peaks in the range 2θ = 5–70°, sorted by position:
2θ/deg	I/Imax
8.38	363
27.91	1000
31.61	463
33.97	246
37.03	831
43.64	105
46.93	486
51.12	182
55.49	135
59.18	271
61.23	174
68.18	102



Record 2
Diffraction record for MgTi2Be2Ni5. The powder X-ray diffraction pattern is computed, not measured: it uses DFT lattice parameters and positions (GGA-PBE) and copper Kα.

Cell lengths 8.533, 8.533, 3.267 Å; angles 90.00, 90.00, 90.00 degrees
Space group P4/mbm (No. 127)
One atom of each set of equivalent atoms:
Mg: 0.000 0.000 0.000
Ti: 0.177 0.323 0.000
Be: 0.117 0.617 0.000
Ni: 0.000 0.500 0.500
Ni: 0.071 0.781 0.500

Principal peaks in the range 2θ = 5–70°, sorted by position:
2θ/deg	I/Imax
27.29	441
36.19	852
38.02	229
40.71	349
43.50	1000
43.74	790
45.08	162
47.44	496
47.66	352
51.14	155
55.80	147
56.31	302